1.
Structure and calculated X-ray powder pattern of NaCu5Cl12 (DFT lattice parameters and positions (PBE); Cu Kα (λ = 1.5418 Å)).
Lines closer than 0.1° are merged.

Structural model:
```
NaCu5Cl12
1.0
5.830 0.000 0.000
2.453 6.155 0.000
2.265 0.847 12.510
Na Cu Cl
1 5 12
Cartesian
0.000 0.000 0.000
1.132 0.423 6.255
5.009 3.084 12.422
3.891 2.476 6.258
6.657 4.526 6.252
5.539 3.918 0.088
3.110 3.345 11.181
2.120 2.015 7.633
2.905 0.886 4.883
4.878 4.076 7.623
4.713 5.385 1.511
6.214 5.092 11.091
4.334 1.910 1.419
5.835 1.617 10.999
5.669 2.926 4.887
7.643 6.116 7.626
8.428 4.987 4.877
7.438 3.657 1.329
```

Top 12 peaks for 10° ≤ 2θ ≤ 90°, by angle:
2theta  d/Å  I (rel.)
14.16  6.255  100.0
26.27  3.393  18.1
28.73  3.107  20.6
29.87  2.992  9.5
32.52  2.754  9.5
33.38  2.685  20.9
36.91  2.435  17.9
37.66  2.388  10.9
38.60  2.332  10.9
45.69  1.986  12.0
46.81  1.941  9.3
54.01  1.698  10.6

---

2.
Structure and calculated X-ray powder pattern of Na2CuCl6 (DFT lattice parameters and positions (PBE); Cu Kα (λ = 1.5418 Å)).
Lines closer than 0.1° are merged.

Structural model:
```
Na2CuCl6
1.0
6.636 0.000 0.000
0.000 7.320 0.000
-6.406 0.000 9.096
Na Cu Cl
4 2 12
Cartesian
-0.043 1.487 1.623
-3.246 2.173 6.171
3.477 5.147 2.925
0.274 5.833 7.473
3.318 0.000 0.000
0.115 3.660 4.548
-4.966 0.949 8.176
-1.763 2.711 3.628
2.197 5.187 0.136
-1.006 5.793 4.684
0.837 4.229 2.413
-2.366 6.750 6.961
2.596 0.569 2.135
-0.607 3.090 6.683
1.236 1.527 4.412
-1.967 2.133 8.960
1.993 4.609 5.468
5.196 6.371 0.920
```

Top 12 peaks for 10° ≤ 2θ ≤ 90°, by angle:
2theta  d/Å  I (rel.)
15.54  5.703  100.0
16.34  5.426  31.6
16.74  5.297  18.6
18.05  4.916  47.6
27.84  3.205  46.0
30.97  2.887  25.8
32.78  2.732  40.0
35.28  2.544  42.6
39.35  2.290  18.6
40.72  2.216  24.0
44.17  2.051  32.0
47.85  1.901  19.3

---

3.
Structure and calculated X-ray powder pattern of NaCu5Cl8 (DFT lattice parameters and positions (PBE); Cu Kα (λ = 1.5418 Å)).
Lines closer than 0.1° are merged.

Structural model:
```
NaCu5Cl8
1.0
0.000 5.242 5.242
5.242 0.000 5.242
5.242 5.242 0.000
Na Cu Cl
1 5 8
Cartesian
0.000 0.000 0.000
3.926 3.926 3.926
6.558 6.558 3.926
6.558 3.926 6.558
7.863 7.863 7.863
3.926 6.558 6.558
1.461 1.461 1.461
3.780 3.780 1.461
3.780 1.461 3.780
6.488 3.996 3.996
1.461 3.780 3.780
3.996 6.488 3.996
3.996 3.996 6.488
6.488 6.488 6.488
```

Top 12 peaks for 10° ≤ 2θ ≤ 90°, by angle:
2theta  d/Å  I (rel.)
14.63  6.053  45.3
24.01  3.707  19.0
28.23  3.161  98.3
34.21  2.621  79.5
44.93  2.018  52.9
49.16  1.853  100.0
57.66  1.599  12.5
61.25  1.513  15.1
68.78  1.365  17.8
72.07  1.310  13.4
79.11  1.211  12.3
82.25  1.172  17.2

---

4.
Structure and calculated X-ray powder pattern of NaPaCu2Cl8 (DFT lattice parameters and positions (PBE); Cu Kα (λ = 1.5418 Å)).
Lines closer than 0.1° are merged.

Structural model:
```
NaPaCu2Cl8
1.0
6.840 0.000 0.000
3.329 6.736 0.000
0.498 2.873 7.946
Na Pa Cu Cl
1 1 2 8
Cartesian
0.000 0.000 0.000
0.249 1.436 3.973
2.592 6.555 6.524
8.075 3.054 1.422
2.611 4.542 7.624
2.374 2.799 3.361
4.454 6.147 2.686
4.766 7.356 6.169
5.901 2.253 1.777
6.213 3.462 5.260
8.293 6.810 4.585
8.056 5.067 0.322
```

Top 12 peaks for 10° ≤ 2θ ≤ 90°, by angle:
2theta  d/Å  I (rel.)
11.13  7.946  13.6
13.98  6.335  8.7
14.56  6.082  100.0
16.61  5.336  31.4
24.07  3.698  8.7
28.04  3.182  10.6
28.63  3.118  14.0
29.48  3.030  8.0
30.20  2.960  12.8
37.50  2.398  17.6
38.38  2.345  8.2
42.83  2.111  12.3

---

5.
Structure and calculated X-ray powder pattern of RbNaCuCl4 (DFT lattice parameters and positions (PBE); Cu Kα (λ = 1.5418 Å)).
Lines closer than 0.1° are merged.

Structural model:
```
RbNaCuCl4
1.0
6.941 0.000 0.000
0.000 6.850 0.000
-2.602 0.000 8.381
Rb Na Cu Cl
2 2 2 8
Cartesian
0.489 1.713 3.653
3.850 5.138 4.728
-0.574 1.713 7.906
4.913 5.138 0.475
1.467 5.138 1.452
2.872 1.713 6.929
-2.058 5.138 7.789
-0.345 5.138 2.864
1.428 0.022 6.531
1.428 3.403 6.531
2.911 3.447 1.850
2.911 6.828 1.850
4.684 1.713 5.517
6.397 1.713 0.592
```

Top 12 peaks for 10° ≤ 2θ ≤ 90°, by angle:
2theta  d/Å  I (rel.)
14.37  6.164  41.5
16.71  5.304  27.4
19.37  4.581  100.0
23.36  3.808  31.9
26.01  3.425  54.5
28.97  3.082  40.7
29.35  3.043  44.1
31.29  2.859  65.5
31.84  2.811  64.5
37.77  2.382  48.2
41.17  2.193  41.1
49.32  1.848  30.9

---

6.
Structure and calculated X-ray powder pattern of Rb4NaCu3Cl12 (DFT lattice parameters and positions (PBE); Cu Kα (λ = 1.5418 Å)).
Lines closer than 0.1° are merged.

Structural model:
```
Rb4NaCu3Cl12
1.0
-5.019 5.019 5.019
5.019 -5.019 5.019
5.019 5.019 -5.019
Rb Na Cu Cl
4 1 3 12
Cartesian
2.510 2.510 -2.510
2.510 -2.510 2.510
-2.510 2.510 2.510
2.510 2.510 2.510
0.000 0.000 0.000
5.019 0.000 0.000
0.000 5.019 0.000
0.000 0.000 5.019
2.749 0.000 0.000
7.289 0.000 0.000
5.019 2.510 0.000
5.019 0.000 2.510
0.000 2.749 0.000
0.000 0.000 2.749
2.510 5.019 0.000
2.510 0.000 5.019
0.000 7.289 0.000
0.000 0.000 7.289
0.000 5.019 2.510
0.000 2.510 5.019
```

Top 12 peaks for 10° ≤ 2θ ≤ 90°, by angle:
2theta  d/Å  I (rel.)
12.47  7.098  11.9
25.09  3.549  98.8
30.86  2.898  59.2
35.78  2.510  100.0
44.20  2.049  41.9
51.50  1.775  63.1
58.12  1.587  21.4
61.25  1.513  18.9
64.29  1.449  20.2
70.16  1.341  22.8
81.33  1.183  10.2
86.77  1.122  25.4

---

7.
Structure and calculated X-ray powder pattern of NaSrCu2Cl8 (DFT lattice parameters and positions (PBE); Cu Kα (λ = 1.5418 Å)).
Lines closer than 0.1° are merged.

Structural model:
```
NaSrCu2Cl8
1.0
-3.319 3.319 6.990
3.319 -3.319 6.990
3.319 3.319 -6.990
Na Sr Cu Cl
1 1 2 8
Cartesian
0.000 0.000 0.000
3.319 0.000 3.495
0.000 0.000 6.990
0.000 3.319 3.495
2.355 1.480 0.874
1.840 -0.965 6.117
-0.939 1.491 2.670
1.480 4.284 -0.874
1.828 2.381 4.320
0.965 1.840 7.864
-1.828 4.258 4.320
0.939 5.148 2.670
```

Top 12 peaks for 10° ≤ 2θ ≤ 90°, by angle:
2theta  d/Å  I (rel.)
14.77  5.997  15.4
22.82  3.897  100.0
23.32  3.814  27.1
25.49  3.495  25.4
30.79  2.904  40.3
31.92  2.803  43.3
37.36  2.407  31.4
38.35  2.347  23.7
43.35  2.087  24.8
45.09  2.011  59.7
46.61  1.949  17.6
59.81  1.546  20.4